Entry 1:
Diffraction record for Tb4MgGe4. The powder X-ray diffraction pattern is simulated, not measured: it uses a cell relaxed with GGA-PBE and Cu Ka.

Structure:
abc: 7.2697 14.6667 7.8210
angles: 90.00 90.00 90.00
Fractional positions:
Tb: 0.0119 0.0956 0.1831
Tb: 0.0119 0.4044 0.1831
Tb: 0.1703 0.1271 0.6782
Tb: 0.1703 0.3729 0.6782
Tb: 0.3297 0.6271 0.1782
Tb: 0.3297 0.8729 0.1782
Tb: 0.4881 0.5956 0.6831
Tb: 0.4881 0.9044 0.6831
Tb: 0.5119 0.0956 0.3169
Tb: 0.5119 0.4044 0.3169
Tb: 0.6703 0.1271 0.8218
Tb: 0.6703 0.3729 0.8218
Tb: 0.8297 0.6271 0.3218
Tb: 0.8297 0.8729 0.3218
Tb: 0.9881 0.5956 0.8169
Tb: 0.9881 0.9044 0.8169
Mg: 0.1598 0.7500 0.5189
Mg: 0.3402 0.2500 0.0189
Mg: 0.6598 0.7500 0.9811
Mg: 0.8402 0.2500 0.4811
Ge: 0.0229 0.7500 0.0881
Ge: 0.1688 0.5360 0.4664
Ge: 0.1688 0.9640 0.4664
Ge: 0.2138 0.2500 0.3628
Ge: 0.2862 0.7500 0.8628
Ge: 0.3312 0.0360 0.9664
Ge: 0.3312 0.4640 0.9664
Ge: 0.4771 0.2500 0.5881
Ge: 0.5229 0.7500 0.4119
Ge: 0.6688 0.5360 0.0336
Ge: 0.6688 0.9640 0.0336
Ge: 0.7138 0.2500 0.1372
Ge: 0.7862 0.7500 0.6372
Ge: 0.8312 0.0360 0.5336
Ge: 0.8312 0.4640 0.5336
Ge: 0.9771 0.2500 0.9119

Top 10 peaks for 2θ = 10–80°, sorted by position:
d = 3.667 Å, 24.27°, intensity 17; d = 3.216 Å, 27.74°, intensity 22; d = 2.815 Å, 31.78°, intensity 80; d = 2.733 Å, 32.77°, intensity 100; d = 2.675 Å, 33.50°, intensity 47; d = 2.510 Å, 35.77°, intensity 35; d = 2.452 Å, 36.65°, intensity 29; d = 2.420 Å, 37.15°, intensity 26; d = 2.315 Å, 38.91°, intensity 37; d = 1.597 Å, 57.73°, intensity 37

---

Entry 2:
Diffraction record for BaTl2O4. The powder X-ray diffraction pattern is simulated, not measured: it uses a cell relaxed with GGA-PBE and Cu Ka.

Structure:
abc: 6.0533 6.0533 11.0559
angles: 90.00 90.00 145.48
Fractional positions:
Ba: 0.1081 0.8919 0.7500
Ba: 0.8919 0.1081 0.2500
Tl: 0.3638 0.6362 0.5680
Tl: 0.3638 0.6362 0.9320
Tl: 0.6362 0.3638 0.0680
Tl: 0.6362 0.3638 0.4320
O: 0.0000 0.0000 0.0000
O: 0.0000 0.0000 0.5000
O: 0.2705 0.7295 0.1068
O: 0.2705 0.7295 0.3932
O: 0.4395 0.5605 0.7500
O: 0.5605 0.4395 0.2500
O: 0.7295 0.2705 0.6068
O: 0.7295 0.2705 0.8932

Top 10 peaks for 2θ = 10–80°, sorted by position:
d = 3.276 Å, 27.22°, intensity 36; d = 3.108 Å, 28.73°, intensity 100; d = 2.915 Å, 30.67°, intensity 42; d = 2.890 Å, 30.94°, intensity 36; d = 2.628 Å, 34.12°, intensity 24; d = 2.557 Å, 35.10°, intensity 32; d = 2.373 Å, 37.91°, intensity 38; d = 1.859 Å, 49.01°, intensity 24; d = 1.708 Å, 53.67°, intensity 19; d = 1.555 Å, 59.46°, intensity 38

---

Entry 3:
Diffraction record for Nd3GaFeS7. The powder X-ray diffraction pattern is simulated, not measured: it uses a cell relaxed with GGA-PBE and Cu Ka.

Structure:
abc: 9.9791 9.9791 6.1061
angles: 90.00 90.00 120.00
Fractional positions:
Nd: 0.1492 0.3756 0.0000
Nd: 0.2264 0.8508 0.0000
Nd: 0.3756 0.2264 0.5000
Nd: 0.6244 0.7736 0.0000
Nd: 0.7736 0.1492 0.5000
Nd: 0.8508 0.6244 0.5000
Ga: 0.3333 0.6667 0.4222
Ga: 0.6667 0.3333 0.9222
Fe: 0.0000 0.0000 0.3014
Fe: 0.0000 0.0000 0.8014
S: 0.0919 0.5736 0.2719
S: 0.0936 0.2320 0.5644
S: 0.1384 0.9064 0.5644
S: 0.2320 0.1384 0.0644
S: 0.3333 0.6667 0.7925
S: 0.4264 0.5184 0.2719
S: 0.4816 0.9081 0.2719
S: 0.5184 0.0919 0.7719
S: 0.5736 0.4816 0.7719
S: 0.6667 0.3333 0.2925
S: 0.7680 0.8616 0.5644
S: 0.8616 0.0936 0.0644
S: 0.9064 0.7680 0.0644
S: 0.9081 0.4264 0.7719

Top 10 peaks for 2θ = 10–80°, sorted by position:
d = 4.987 Å, 17.79°, intensity 23; d = 3.527 Å, 25.25°, intensity 100; d = 3.266 Å, 27.30°, intensity 24; d = 2.605 Å, 34.43°, intensity 50; d = 2.494 Å, 36.01°, intensity 77; d = 2.231 Å, 40.43°, intensity 45; d = 1.886 Å, 48.27°, intensity 33; d = 1.802 Å, 50.66°, intensity 21; d = 1.383 Å, 67.73°, intensity 31; d = 1.288 Å, 73.53°, intensity 26

---

Entry 4:
Diffraction record for Eu6P19Rh30. The powder X-ray diffraction pattern is simulated, not measured: it uses a cell relaxed with GGA-PBE and Cu Ka.

Structure:
abc: 15.6959 15.6959 3.8586
angles: 90.00 90.00 120.00
Fractional positions:
Eu: 0.0372 0.2727 0.0000
Eu: 0.2356 0.9628 0.0000
Eu: 0.4307 0.3708 0.4995
Eu: 0.6292 0.0599 0.4995
Eu: 0.7273 0.7644 0.0000
Eu: 0.9401 0.5693 0.4995
P: 0.0160 0.1174 0.4993
P: 0.0770 0.5495 0.9958
P: 0.1014 0.9840 0.4993
P: 0.1949 0.4106 0.5014
P: 0.2157 0.8051 0.5014
P: 0.2713 0.2338 0.9986
P: 0.3333 0.6667 0.1828
P: 0.3955 0.0997 0.5004
P: 0.4505 0.5274 0.9958
P: 0.4726 0.9230 0.9958
P: 0.5652 0.3492 0.0004
P: 0.5894 0.7843 0.5014
P: 0.6508 0.2159 0.0004
P: 0.7042 0.6045 0.5004
P: 0.7662 0.0376 0.9986
P: 0.7841 0.4348 0.0004
P: 0.8826 0.8986 0.4993
P: 0.9003 0.2958 0.5004
P: 0.9624 0.7287 0.9986
Rh: 0.0568 0.4389 0.5022
Rh: 0.0713 0.8198 0.4985
Rh: 0.1055 0.7145 0.9955
Rh: 0.1097 0.0948 0.9988
Rh: 0.1802 0.2515 0.4985
Rh: 0.1873 0.6439 0.4944
Rh: 0.2063 0.5165 0.9998
Rh: 0.2599 0.1283 0.4987
Rh: 0.2855 0.3910 0.9955
Rh: 0.3102 0.7937 0.9998
Rh: 0.3561 0.5434 0.4944
Rh: 0.3821 0.9432 0.5022
Rh: 0.4070 0.2050 0.0006
Rh: 0.4566 0.8127 0.4944
Rh: 0.4835 0.6898 0.9998
Rh: 0.4868 0.0822 0.0005
Rh: 0.5571 0.2389 0.5011
Rh: 0.5611 0.6179 0.5022
Rh: 0.5954 0.5132 0.0005
Rh: 0.6090 0.8945 0.9955
Rh: 0.6818 0.4429 0.5011
Rh: 0.7485 0.9287 0.4985
Rh: 0.7611 0.3182 0.5011
Rh: 0.7950 0.2020 0.0006
Rh: 0.7980 0.5930 0.0006
Rh: 0.8684 0.7401 0.4987
Rh: 0.8717 0.1316 0.4987
Rh: 0.9052 0.0150 0.9988
Rh: 0.9178 0.4046 0.0005
Rh: 0.9850 0.8903 0.9988

Top 10 peaks for 2θ = 10–80°, sorted by position:
d = 3.118 Å, 28.63°, intensity 15; d = 3.085 Å, 28.94°, intensity 7; d = 2.550 Å, 35.19°, intensity 8; d = 2.425 Å, 37.07°, intensity 100; d = 2.177 Å, 41.49°, intensity 7; d = 1.942 Å, 46.78°, intensity 10; d = 1.929 Å, 47.10°, intensity 19; d = 1.800 Å, 50.70°, intensity 18; d = 1.445 Å, 64.49°, intensity 10; d = 1.316 Å, 71.70°, intensity 12

---

> Which formula does entry 4 have?

Eu6P19Rh30